For Sr3Pa3OsN8, a cell relaxed with GGA-PBE gives the simulated powder diffractogram in this record (Cu Kα (weighted mean of Kα1 and Kα2)).
Kinematic intensities with the Lorentz-polarization factor, no thermal factor.

```
Sr3Pa3OsN8
1.0
3.4767 2.0073 5.9582
-3.4767 2.0073 5.9582
0.0000 -4.0146 5.9582
Sr Pa Os N
3 3 1 8
Direct
0.0000 0.5000 0.5000
0.5000 0.0000 0.5000
0.5000 0.5000 0.0000
0.0000 0.0000 0.5000
0.0000 0.5000 0.0000
0.5000 0.0000 0.0000
0.5000 0.5000 0.5000
0.2335 0.7253 0.7253
0.2361 0.2361 0.2361
0.2747 0.2747 0.7665
0.2747 0.7665 0.2747
0.7253 0.2335 0.7253
0.7253 0.7253 0.2335
0.7639 0.7639 0.7639
0.7665 0.2747 0.2747
```

Principal peaks in the range 2θ = 5–70°, in order of falling intensity:
two_theta	I/Imax
35.97	100
31.35	100
14.87	76
30.00	39
61.80	38
30.10	36